No. 1
This entry pairs a crystal structure of Y4ZrRh3 with its calculated PXRD pattern. Radiation: Cu Kα X-rays. Structure: DFT lattice parameters and positions (GGA-PBE).

Atomic structure:
Cell: 8.3192 8.3192 8.3192 Å, 97.48 97.48 137.71°
Sites, in units of the cell vectors:
Y1 0.0817 0.7869 0.8686
Y2 0.2131 0.0817 0.2947
Y3 0.2869 0.5817 0.8686
Y4 0.4183 0.2869 0.7053
Y5 0.5817 0.7131 0.2947
Y6 0.7131 0.4183 0.1314
Y7 0.7869 0.9183 0.7053
Y8 0.9183 0.2131 0.1314
Zr1 0.2500 0.7500 0.5000
Zr2 0.7500 0.2500 0.5000
Rh1 0.1512 0.3488 0.5000
Rh2 0.2500 0.2500 0.0000
Rh3 0.3488 0.8488 0.1976
Rh4 0.6512 0.1512 0.8024
Rh5 0.7500 0.7500 0.0000
Rh6 0.8488 0.6512 0.5000

Principal peaks in the range 2θ = 10–90°, in order of falling intensity:
2theta  d (Å)  I (rel.)
36.9  2.433  100
33.0  2.714  82
36.6  2.454  68
34.1  2.633  64
37.9  2.374  50
44.8  2.025  30
29.8  3.001  29
57.6  1.599  27
69.2  1.357  26
68.0  1.378  21

=====

No. 2
This entry pairs a crystal structure of Ba2AcPaSe6 with its calculated PXRD pattern. Radiation: Cu Kα X-rays. Structure: DFT lattice parameters and positions (GGA-PBE).

Atomic structure:
Cell: 7.6372 8.1439 13.4287 Å, 90.00 124.28 90.00°
Sites, in units of the cell vectors:
Ba1 0.2235 0.0775 0.2502
Ba2 0.2235 0.4225 0.7502
Ba3 0.7765 0.5775 0.2498
Ba4 0.7765 0.9225 0.7498
Ac1 0.5000 0.0000 0.0000
Ac2 0.5000 0.5000 0.5000
Pa1 0.0000 0.0000 0.5000
Pa2 0.0000 0.5000 0.0000
Se1 0.1164 0.2106 0.9380
Se2 0.1164 0.2894 0.4380
Se3 0.2373 0.6850 0.9435
Se4 0.2373 0.8150 0.4435
Se5 0.3483 0.0360 0.7360
Se6 0.3483 0.4640 0.2360
Se7 0.6517 0.5360 0.7640
Se8 0.6517 0.9640 0.2640
Se9 0.7627 0.1850 0.5565
Se10 0.7627 0.3150 0.0565
Se11 0.8836 0.7106 0.5620
Se12 0.8836 0.7894 0.0620

Principal peaks in the range 2θ = 10–90°, in order of falling intensity:
2theta  d (Å)  I (rel.)
22.7  3.922  100
22.6  3.941  99
15.9  5.565  96
32.1  2.785  92
36.0  2.491  58
32.3  2.774  57
40.6  2.220  55
21.8  4.072  45
40.4  2.231  44
39.3  2.293  43

=====

No. 3
This entry pairs a crystal structure of YAl3Au2 with its calculated PXRD pattern. Radiation: Cu Kα X-rays. Structure: DFT lattice parameters and positions (GGA-PBE).

Atomic structure:
Cell: 8.6808 8.6808 10.1554 Å, 104.91 104.91 28.06°
Sites, in units of the cell vectors:
Y1 0.0000 0.0000 0.0000
Y2 0.1576 0.1576 0.7060
Y3 0.8424 0.8424 0.2940
Al1 0.0418 0.0418 0.3586
Al2 0.2129 0.2129 0.3794
Al3 0.3331 0.3331 0.0422
Al4 0.3739 0.3739 0.8033
Al5 0.5000 0.5000 0.5000
Al6 0.6261 0.6261 0.1967
Al7 0.6669 0.6669 0.9578
Al8 0.7871 0.7871 0.6206
Al9 0.9582 0.9582 0.6414
Au1 0.1983 0.1983 0.1187
Au2 0.3545 0.3545 0.5382
Au3 0.4733 0.4733 0.2177
Au4 0.5267 0.5267 0.7823
Au5 0.6455 0.6455 0.4618
Au6 0.8017 0.8017 0.8813

Principal peaks in the range 2θ = 10–90°, in order of falling intensity:
2theta  d (Å)  I (rel.)
43.0  2.104  100
29.9  2.984  69
27.5  3.240  69
25.9  3.442  67
35.0  2.562  67
34.1  2.626  61
24.5  3.635  59
34.0  2.634  58
26.9  3.317  55
33.1  2.707  44

=====

No. 4
This entry pairs a crystal structure of K3Ga3As4 with its calculated PXRD pattern. Radiation: Cu Kα X-rays. Structure: DFT lattice parameters and positions (GGA-PBE).

Atomic structure:
Cell: 6.7204 15.2128 10.8284 Å, 90.00 90.00 90.00°
Sites, in units of the cell vectors:
K1 0.0604 0.0959 0.1200
K2 0.0604 0.4041 0.3800
K3 0.2500 0.0000 0.5815
K4 0.2500 0.5000 0.9185
K5 0.4396 0.5959 0.3800
K6 0.4396 0.9041 0.1200
K7 0.5604 0.0959 0.8800
K8 0.5604 0.4041 0.6200
K9 0.7500 0.0000 0.4185
K10 0.7500 0.5000 0.0815
K11 0.9396 0.5959 0.6200
K12 0.9396 0.9041 0.8800
Ga1 0.0995 0.7171 0.1111
Ga2 0.0995 0.7829 0.3889
Ga3 0.1941 0.7500 0.7500
Ga4 0.3059 0.2500 0.7500
Ga5 0.4005 0.2171 0.3889
Ga6 0.4005 0.2829 0.1111
Ga7 0.5995 0.7171 0.8889
Ga8 0.5995 0.7829 0.6111
Ga9 0.6941 0.7500 0.2500
Ga10 0.8059 0.2500 0.2500
Ga11 0.9005 0.2171 0.6111
Ga12 0.9005 0.2829 0.8889
As1 0.0387 0.1370 0.8056
As2 0.0387 0.1758 0.4051
As3 0.0387 0.3242 0.0949
As4 0.0387 0.3630 0.6944
As5 0.4613 0.6370 0.6944
As6 0.4613 0.6758 0.0949
As7 0.4613 0.8242 0.4051
As8 0.4613 0.8630 0.8056
As9 0.5387 0.1370 0.1944
As10 0.5387 0.1758 0.5949
As11 0.5387 0.3242 0.9051
As12 0.5387 0.3630 0.3056
As13 0.9613 0.6370 0.3056
As14 0.9613 0.6758 0.9051
As15 0.9613 0.8242 0.5949
As16 0.9613 0.8630 0.1944

Principal peaks in the range 2θ = 10–90°, in order of falling intensity:
2theta  d (Å)  I (rel.)
11.6  7.606  100
30.5  2.929  31
30.5  2.934  26
53.5  1.712  21
41.1  2.198  21
26.5  3.360  19
33.3  2.694  17
32.0  2.801  17
35.7  2.518  17
33.1  2.709  16

=====

No. 5
This entry pairs a crystal structure of PrTm2ZrSc4 with its calculated PXRD pattern. Radiation: Cu Kα X-rays. Structure: DFT lattice parameters and positions (GGA-PBE).

Atomic structure:
Cell: 4.7764 4.7764 9.3726 Å, 90.00 90.00 90.00°
Sites, in units of the cell vectors:
Pr1 0.0000 0.0000 0.0000
Tm1 0.0000 0.0000 0.5000
Tm2 0.5000 0.5000 0.0000
Zr1 0.5000 0.5000 0.5000
Sc1 0.0000 0.5000 0.2635
Sc2 0.0000 0.5000 0.7365
Sc3 0.5000 0.0000 0.2635
Sc4 0.5000 0.0000 0.7365

Principal peaks in the range 2θ = 10–90°, in order of falling intensity:
2theta  d (Å)  I (rel.)
32.7  2.740  100
37.7  2.388  34
64.9  1.438  26
18.9  4.686  26
26.4  3.377  23
54.9  1.673  22
38.4  2.343  16
42.5  2.128  14
65.9  1.418  12
54.3  1.689  12

=====

No. 6
This entry pairs a crystal structure of MoBr5 with its calculated PXRD pattern. Radiation: Cu Kα X-rays. Structure: DFT lattice parameters and positions (GGA-PBE).

Atomic structure:
Cell: 8.8043 8.8043 5.2464 Å, 90.00 90.00 90.00°
Sites, in units of the cell vectors:
Mo1 0.0000 0.0000 0.0000
Mo2 0.5000 0.5000 0.5000
Br1 0.0000 0.0000 0.5000
Br2 0.0818 0.2684 0.0000
Br3 0.2316 0.5818 0.5000
Br4 0.2684 0.9182 0.0000
Br5 0.4182 0.2316 0.5000
Br6 0.5000 0.5000 0.0000
Br7 0.5818 0.7684 0.5000
Br8 0.7316 0.0818 0.0000
Br9 0.7684 0.4182 0.5000
Br10 0.9182 0.7316 0.0000

Principal peaks in the range 2θ = 10–90°, in order of falling intensity:
2theta  d (Å)  I (rel.)
28.3  3.149  100
32.1  2.784  91
14.2  6.226  66
47.6  1.909  59
19.7  4.507  57
34.2  2.623  46
46.1  1.969  35
58.6  1.575  34
55.0  1.669  23
45.9  1.978  21

=====

No. 7
This entry pairs a crystal structure of Sc6CoOs with its calculated PXRD pattern. Radiation: Cu Kα X-rays. Structure: DFT lattice parameters and positions (GGA-PBE).

Atomic structure:
Cell: 4.5415 4.5415 16.0734 Å, 90.00 90.00 90.00°
Sites, in units of the cell vectors:
Sc1 0.0000 0.0000 0.2477
Sc2 0.0000 0.0000 0.7523
Sc3 0.0000 0.5000 0.0956
Sc4 0.0000 0.5000 0.4044
Sc5 0.0000 0.5000 0.5956
Sc6 0.0000 0.5000 0.9044
Sc7 0.5000 0.0000 0.0956
Sc8 0.5000 0.0000 0.4044
Sc9 0.5000 0.0000 0.5956
Sc10 0.5000 0.0000 0.9044
Sc11 0.5000 0.5000 0.2523
Sc12 0.5000 0.5000 0.7477
Co1 0.0000 0.0000 0.5000
Co2 0.5000 0.5000 0.0000
Os1 0.0000 0.0000 0.0000
Os2 0.5000 0.5000 0.5000

Principal peaks in the range 2θ = 10–90°, in order of falling intensity:
2theta  d (Å)  I (rel.)
35.8  2.509  100
11.0  8.037  91
39.7  2.271  45
20.3  4.370  28
69.5  1.352  26
44.0  2.057  26
57.4  1.606  17
22.1  4.018  16
41.3  2.185  15
25.7  3.464  15

=====

No. 8
This entry pairs a crystal structure of Tl4IrCl6 with its calculated PXRD pattern. Radiation: Cu Kα X-rays. Structure: DFT lattice parameters and positions (GGA-PBE).

Atomic structure:
Cell: 8.5565 8.5565 9.0393 Å, 90.00 90.00 90.00°
Sites, in units of the cell vectors:
Tl1 0.1558 0.3442 0.2500
Tl2 0.1558 0.3442 0.7500
Tl3 0.3442 0.8442 0.2500
Tl4 0.3442 0.8442 0.7500
Tl5 0.6558 0.1558 0.2500
Tl6 0.6558 0.1558 0.7500
Tl7 0.8442 0.6558 0.2500
Tl8 0.8442 0.6558 0.7500
Ir1 0.0000 0.0000 0.0000
Ir2 0.5000 0.5000 0.5000
Cl1 0.0000 0.0000 0.2624
Cl2 0.0000 0.0000 0.7376
Cl3 0.1211 0.7263 0.0000
Cl4 0.2263 0.6211 0.5000
Cl5 0.2737 0.1211 0.0000
Cl6 0.3789 0.2263 0.5000
Cl7 0.5000 0.5000 0.2376
Cl8 0.5000 0.5000 0.7624
Cl9 0.6211 0.7737 0.5000
Cl10 0.7263 0.8789 0.0000
Cl11 0.7737 0.3789 0.5000
Cl12 0.8789 0.2737 0.0000

Principal peaks in the range 2θ = 10–90°, in order of falling intensity:
2theta  d (Å)  I (rel.)
30.6  2.920  100
23.2  3.827  55
33.1  2.706  44
14.3  6.214  33
52.8  1.734  23
24.6  3.621  21
19.6  4.520  21
49.5  1.842  20
46.7  1.946  19
39.9  2.260  18

=====

No. 9
This entry pairs a crystal structure of Rb2GaBr5 with its calculated PXRD pattern. Radiation: Cu Kα X-rays. Structure: DFT lattice parameters and positions (GGA-PBE).

Atomic structure:
Cell: 12.2089 14.2946 9.7923 Å, 90.00 90.00 90.00°
Sites, in units of the cell vectors:
Rb1 0.0000 0.0000 0.2305
Rb2 0.0000 0.0000 0.7695
Rb3 0.1217 0.3219 0.0000
Rb4 0.3783 0.8219 0.5000
Rb5 0.5000 0.5000 0.2695
Rb6 0.5000 0.5000 0.7305
Rb7 0.6217 0.1781 0.5000
Rb8 0.8783 0.6781 0.0000
Ga1 0.2468 0.2191 0.5000
Ga2 0.2532 0.7191 0.0000
Ga3 0.7468 0.2809 0.0000
Ga4 0.7532 0.7809 0.5000
Br1 0.0595 0.1755 0.5000
Br2 0.1451 0.5797 0.0000
Br3 0.1497 0.1010 0.0000
Br4 0.2087 0.8066 0.1970
Br5 0.2087 0.8066 0.8030
Br6 0.2913 0.3066 0.3030
Br7 0.2913 0.3066 0.6970
Br8 0.3503 0.6010 0.5000
Br9 0.3549 0.0797 0.5000
Br10 0.4405 0.6755 0.0000
Br11 0.5595 0.3245 0.0000
Br12 0.6451 0.9203 0.5000
Br13 0.6497 0.3990 0.5000
Br14 0.7087 0.6934 0.3030
Br15 0.7087 0.6934 0.6970
Br16 0.7913 0.1934 0.1970
Br17 0.7913 0.1934 0.8030
Br18 0.8503 0.8990 0.0000
Br19 0.8549 0.4203 0.0000
Br20 0.9405 0.8245 0.5000

Principal peaks in the range 2θ = 10–90°, in order of falling intensity:
2theta  d (Å)  I (rel.)
30.4  2.942  100
23.2  3.835  96
24.1  3.690  82
23.7  3.758  79
19.1  4.642  77
11.6  7.639  64
13.1  6.737  62
34.6  2.590  54
34.3  2.615  50
12.4  7.147  47

=====

No. 10
This entry pairs a crystal structure of Ir3C5 with its calculated PXRD pattern. Radiation: Cu Kα X-rays. Structure: DFT lattice parameters and positions (GGA-PBE).

Atomic structure:
Cell: 5.9254 5.9254 6.7947 Å, 99.46 99.46 118.84°
Sites, in units of the cell vectors:
Ir1 0.0000 0.0000 0.0000
Ir2 0.1939 0.1939 0.4098
Ir3 0.4692 0.7439 0.2153
Ir4 0.4790 0.8715 0.8185
Ir5 0.7439 0.4692 0.2153
Ir6 0.8715 0.4790 0.8185
C1 0.2349 0.8225 0.0003
C2 0.3561 0.3561 0.1902
C3 0.3614 0.4883 0.7031
C4 0.3639 0.9668 0.4021
C5 0.4820 0.8803 0.5229
C6 0.4883 0.3614 0.7031
C7 0.8225 0.2349 0.0003
C8 0.8457 0.8457 0.2161
C9 0.8803 0.4820 0.5229
C10 0.9668 0.3639 0.4021

Principal peaks in the range 2θ = 10–90°, in order of falling intensity:
2theta  d (Å)  I (rel.)
30.6  2.921  100
31.4  2.852  37
28.5  3.134  36
13.8  6.430  31
22.2  3.996  28
34.8  2.580  27
37.3  2.409  26
47.9  1.899  26
34.6  2.589  25
40.9  2.208  23

=====

No. 11
This entry pairs a crystal structure of AcCuNiSn with its calculated PXRD pattern. Radiation: Cu Kα X-rays. Structure: DFT lattice parameters and positions (GGA-PBE).

Atomic structure:
Cell: 6.9793 6.9793 6.9793 Å, 90.00 90.00 90.00°
Sites, in units of the cell vectors:
Ac1 0.0000 0.0000 0.0000
Ac2 0.0000 0.5000 0.5000
Ac3 0.5000 0.0000 0.5000
Ac4 0.5000 0.5000 0.0000
Cu1 0.2500 0.2500 0.7500
Cu2 0.2500 0.7500 0.2500
Cu3 0.7500 0.2500 0.2500
Cu4 0.7500 0.7500 0.7500
Ni1 0.2500 0.2500 0.2500
Ni2 0.2500 0.7500 0.7500
Ni3 0.7500 0.2500 0.7500
Ni4 0.7500 0.7500 0.2500
Sn1 0.0000 0.0000 0.5000
Sn2 0.0000 0.5000 0.0000
Sn3 0.5000 0.0000 0.0000
Sn4 0.5000 0.5000 0.5000

Principal peaks in the range 2θ = 10–90°, in order of falling intensity:
2theta  d (Å)  I (rel.)
36.4  2.468  100
65.5  1.425  36
25.5  3.490  23
52.4  1.745  18
88.6  1.104  16
77.3  1.234  11
59.2  1.561  10
22.1  4.030  10
45.0  2.015  7
83.0  1.163  6

=====

No. 12
This entry pairs a crystal structure of BeCd2Pt with its calculated PXRD pattern. Radiation: Cu Kα X-rays. Structure: DFT lattice parameters and positions (GGA-PBE).

Atomic structure:
Cell: 3.0733 3.0733 7.0937 Å, 90.00 90.00 90.00°
Sites, in units of the cell vectors:
Be1 0.0000 0.0000 0.0000
Cd1 0.0000 0.0000 0.5949
Cd2 0.5000 0.5000 0.2814
Pt1 0.5000 0.5000 0.8821

Principal peaks in the range 2θ = 10–90°, in order of falling intensity:
2theta  d (Å)  I (rel.)
38.8  2.323  100
31.7  2.820  58
41.6  2.173  55
73.5  1.288  33
57.6  1.600  30
74.0  1.282  29
29.1  3.073  27
38.1  2.365  25
12.5  7.094  21
60.2  1.537  19